Calculated powder XRD pattern of NpMn2O5 for copper Kα, from a crystal structure in Alexandria, relaxed with GGA+U.
Lines closer than 0.1° are merged.

Atomic structure:
Lattice parameters (Å, degrees): 10.982 5.419 7.782 90.00 111.78 90.00
Space group C2/c (No. 15)
Inequivalent atoms, fractional coordinates:
Np1 0.000 0.000 0.000 x4
Mn1 0.135 0.496 0.236 x8
O1 0.000 0.205 0.750 x4
O2 0.081 0.319 0.452 x8
O3 0.178 0.146 0.148 x8

Principal peaks in the range 2θ = 5–70°, by angle:
| 2θ/deg | I (rel.) |
| --- | --- |
| 17.39 | 96.5 |
| 18.54 | 74.2 |
| 24.34 | 64.5 |
| 28.24 | 100.0 |
| 31.06 | 86.1 |
| 33.58 | 57.8 |